[1]
Theoretical powder XRD pattern of HoRh2Pb for Cu Kα (weighted mean of Kα1 and Kα2), from a DFT-relaxed cell (PBE, the Materials Project).

Largest 10 diffraction maxima, sorted by position, 15 to 90 degrees two-theta:
d 3.891, I 1; d 3.370, I 9; d 2.383, I 100; d 2.032, I 1; d 1.946, I 3; d 1.685, I 17; d 1.507, I 4; d 1.376, I 35; d 1.191, I 11; d 1.123, I 2

Structural model:
a b c (Å): 4.766 4.766 4.766
angles (deg): 60.00 60.00 60.00
Fractional positions:
1 Ho 0.000 0.000 0.000
2 Rh 0.250 0.250 0.250
3 Rh 0.750 0.750 0.750
4 Pb 0.500 0.500 0.500

***

[2]
Theoretical powder XRD pattern of Ho2PbS4 for Cu Kα (weighted mean of Kα1 and Kα2), from a DFT-relaxed cell (PBE, the Materials Project).

Largest 10 diffraction maxima, sorted by position, 15 to 90 degrees two-theta:
d 3.598, I 39; d 3.528, I 100; d 3.347, I 59; d 3.327, I 26; d 2.969, I 45; d 2.443, I 54; d 2.413, I 26; d 2.025, I 25; d 1.990, I 40; d 1.733, I 28

Structural model:
a b c (Å): 14.932 14.932 12.144
angles (deg): 90.00 90.00 149.10
Fractional positions:
1 Ho 0.069 0.430 0.860
2 Ho 0.069 0.931 0.500
3 Ho 0.174 0.328 0.343
4 Ho 0.174 0.826 0.008
5 Ho 0.323 0.677 0.505
6 Ho 0.328 0.174 0.843
7 Ho 0.430 0.069 0.360
8 Ho 0.431 0.569 0.990
9 Ho 0.569 0.431 0.490
10 Ho 0.570 0.931 0.860
11 Ho 0.672 0.826 0.343
12 Ho 0.677 0.323 0.005
13 Ho 0.826 0.174 0.508
14 Ho 0.826 0.672 0.843
15 Ho 0.931 0.069 0.000
16 Ho 0.931 0.570 0.360
17 Pb 0.037 0.963 0.204
18 Pb 0.040 0.459 0.170
19 Pb 0.452 0.548 0.637
20 Pb 0.459 0.040 0.670
21 Pb 0.541 0.960 0.170
22 Pb 0.548 0.452 0.137
23 Pb 0.960 0.541 0.670
24 Pb 0.963 0.037 0.704
25 S 0.011 0.480 0.455
26 S 0.016 0.984 0.896
27 S 0.139 0.861 0.799
28 S 0.141 0.366 0.553
29 S 0.159 0.333 0.845
30 S 0.164 0.836 0.514
31 S 0.209 0.791 0.220
32 S 0.213 0.293 0.135
33 S 0.289 0.711 0.719
34 S 0.293 0.213 0.635
35 S 0.333 0.159 0.345
36 S 0.337 0.663 0.011
37 S 0.360 0.640 0.298
38 S 0.366 0.141 0.053
39 S 0.480 0.011 0.955
40 S 0.480 0.520 0.412
41 S 0.520 0.480 0.912
42 S 0.520 0.989 0.455
43 S 0.634 0.859 0.553
44 S 0.640 0.360 0.798
45 S 0.663 0.337 0.511
46 S 0.667 0.841 0.845
47 S 0.707 0.787 0.135
48 S 0.711 0.289 0.219
49 S 0.787 0.707 0.635
50 S 0.791 0.209 0.720
51 S 0.836 0.164 0.014
52 S 0.841 0.667 0.345
53 S 0.859 0.634 0.053
54 S 0.861 0.139 0.299
55 S 0.984 0.016 0.396
56 S 0.989 0.520 0.955

***

> Which formula does entry 1 have?

HoRh2Pb